No. 1
This entry pairs a crystal structure of Sc2CuTc with its simulated X-ray diffraction stick pattern. Radiation: Cu Kα. Structure: DFT lattice parameters and positions (GGA-PBE).

Cell and atoms:
```
data_Sc2CuTc
_chemical_formula_sum 'Sc8 Cu4 Tc4'
_symmetry_space_group_name_H-M 'F -4 3 m'
_symmetry_Int_Tables_number 216
_symmetry_space_group_name_Hall 'F -4 2 3'
_cell_length_a 6.4450
_cell_length_b 6.4450
_cell_length_c 6.4450
_cell_angle_alpha 90.00
_cell_angle_beta 90.00
_cell_angle_gamma 90.00
loop_
_atom_site_label
_atom_site_fract_x
_atom_site_fract_y
_atom_site_fract_z
_atom_site_occupancy
Sc1 0.0000 0.0000 0.0000 1
Sc2 0.2500 0.2500 0.2500 1
Cu1 0.2500 0.2500 0.7500 1
Tc1 0.0000 0.0000 0.5000 1
```

Principal peaks in the range 10° ≤ 2θ ≤ 90°, in order of falling intensity:
2θ/deg  d (Å)  intensity  index
39.5  2.279  1000  2 2 0
71.7  1.316  308  4 2 2
57.2  1.611  159  4 0 0
23.9  3.721  137  1 1 1
85.2  1.139  95  4 4 0
46.7  1.943  72  3 1 1
62.9  1.479  30  3 3 1
76.9  1.240  22  5 1 1
27.7  3.222  20  2 0 0
64.7  1.441  8  4 2 0

No. 2
This entry pairs a crystal structure of YHoNi2B2C2 with its simulated X-ray diffraction stick pattern. Radiation: Cu Kα. Structure: DFT lattice parameters and positions (GGA-PBE).

Cell and atoms:
```
data_YHoNi2B2C2
_chemical_formula_sum 'Y1 Ho1 Ni2 B2 C2'
_symmetry_space_group_name_H-M 'P 4 m m'
_symmetry_Int_Tables_number 99
_symmetry_space_group_name_Hall 'P 4 -2'
_cell_length_a 3.5823
_cell_length_b 3.5823
_cell_length_c 7.5477
_cell_angle_alpha 90.00
_cell_angle_beta 90.00
_cell_angle_gamma 90.00
loop_
_atom_site_label
_atom_site_fract_x
_atom_site_fract_y
_atom_site_fract_z
_atom_site_occupancy
Y1 0.0000 0.0000 0.0000 1
Ho1 0.5000 0.5000 0.6689 1
Ni1 0.0000 0.5000 0.3348 1
B1 0.0000 0.0000 0.4812 1
B2 0.5000 0.5000 0.1874 1
C1 0.0000 0.0000 0.6779 1
C2 0.5000 0.5000 0.9893 1
```

Principal peaks in the range 10° ≤ 2θ ≤ 90°, in order of falling intensity:
2θ/deg  d (Å)  intensity  index
27.6  3.236  1000  1 0 1
37.5  2.401  897  1 1 1
34.5  2.598  753  1 0 2
43.0  2.103  625  1 1 2
35.7  2.516  541  0 0 3
51.0  1.791  435  2 0 0
63.8  1.459  377  2 0 3
63.0  1.475  265  2 1 2
58.9  1.567  259  2 1 1
61.3  1.513  243  1 1 4

No. 3
This entry pairs a crystal structure of Nb2AgPS10 with its simulated X-ray diffraction stick pattern. Radiation: Cu Kα. Structure: DFT lattice parameters and positions (GGA-PBE).

Cell and atoms:
```
data_Nb2AgPS10
_chemical_formula_sum 'Nb16 Ag8 P8 S80'
_symmetry_space_group_name_H-M 'C 1 2/c 1'
_symmetry_Int_Tables_number 15
_symmetry_space_group_name_Hall '-C 2yc'
_cell_length_a 24.6256
_cell_length_b 8.0024
_cell_length_c 13.0501
_cell_angle_alpha 90.00
_cell_angle_beta 93.99
_cell_angle_gamma 90.00
loop_
_atom_site_label
_atom_site_fract_x
_atom_site_fract_y
_atom_site_fract_z
_atom_site_occupancy
Nb1 0.1365 0.0690 0.2135 1
Nb2 0.1382 0.0529 0.5048 1
Ag1 0.0577 0.4824 0.0960 1
P1 0.0949 0.3827 0.3649 1
S1 0.0416 0.4274 0.8798 1
S2 0.0635 0.1213 0.0678 1
S3 0.0649 0.1157 0.6291 1
S4 0.0648 0.1399 0.3524 1
S5 0.1359 0.4000 0.2314 1
S6 0.1477 0.3753 0.4944 1
S7 0.1564 0.1460 0.8569 1
S8 0.2085 0.0540 0.3685 1
S9 0.2084 0.1397 0.0939 1
S10 0.2118 0.1014 0.6423 1
```

Principal peaks in the range 10° ≤ 2θ ≤ 90°, in order of falling intensity:
2θ/deg  d (Å)  intensity  index
15.5  5.723  1000  3 1 0
14.4  6.141  527  4 0 0
22.2  4.001  384  0 2 0
32.0  2.796  202  4 0 4
34.0  2.639  198  6 0 -4
13.4  6.632  170  1 1 -1
38.9  2.317  157  8 0 -4
41.8  2.159  155  8 0 4
44.2  2.048  136  1 3 4
43.2  2.092  130  10 2 0

No. 4
This entry pairs a crystal structure of Cd2Ga2Si3 with its simulated X-ray diffraction stick pattern. Radiation: Cu Kα. Structure: DFT lattice parameters and positions (GGA-PBE).

Cell and atoms:
```
data_Cd2Ga2Si3
_chemical_formula_sum 'Cd6 Ga6 Si9'
_symmetry_space_group_name_H-M 'R 3 m'
_symmetry_Int_Tables_number 160
_symmetry_space_group_name_Hall 'R 3 -2"'
_cell_length_a 4.5575
_cell_length_b 4.5575
_cell_length_c 23.5558
_cell_angle_alpha 90.00
_cell_angle_beta 90.00
_cell_angle_gamma 120.00
loop_
_atom_site_label
_atom_site_fract_x
_atom_site_fract_y
_atom_site_fract_z
_atom_site_occupancy
Cd1 0.0000 0.0000 0.0000 1
Cd2 0.0000 0.0000 0.4766 1
Ga1 0.0000 0.0000 0.2532 1
Ga2 0.0000 0.0000 0.7434 1
Si1 0.0000 0.0000 0.3671 1
Si2 0.0000 0.0000 0.5860 1
Si3 0.0000 0.0000 0.8722 1
```

Principal peaks in the range 10° ≤ 2θ ≤ 90°, in order of falling intensity:
2θ/deg  d (Å)  intensity  index
27.2  3.279  1000  1 0 4
39.5  2.279  964  1 1 0
38.1  2.360  723  0 1 8
56.1  1.639  226  2 0 8
70.8  1.331  220  1 2 8
23.8  3.742  206  0 1 2
48.7  1.871  202  0 2 4
64.4  1.446  166  2 1 4
35.0  2.561  161  1 0 7
71.7  1.316  157  3 0 0